No. 1
This entry pairs a crystal structure of Cs3DyAg2Cl8 with its computed powder XRD pattern. Radiation: Cu Kα (weighted mean of Kα1 and Kα2). Structure: DFT lattice parameters and positions (PBE).

Structure:
abc: 7.5499 7.5499 10.1813
angles: 90.00 90.00 120.00
Positions (direct):
Cs 0.0000 0.0000 0.0000
Cs 0.3333 0.6667 0.6377
Cs 0.6667 0.3333 0.3623
Dy 0.0000 0.0000 0.5000
Ag 0.3333 0.6667 0.1962
Ag 0.6667 0.3333 0.8038
Cl 0.1628 0.3256 0.3467
Cl 0.1628 0.8372 0.3467
Cl 0.3256 0.1628 0.6533
Cl 0.3333 0.6667 0.9596
Cl 0.6667 0.3333 0.0404
Cl 0.6744 0.8372 0.3467
Cl 0.8372 0.1628 0.6533
Cl 0.8372 0.6744 0.6533

Most intense lines, 2θ from 15° to 90°, by angle:
2θ = 22.13°, I 72; 2θ = 23.57°, I 100; 2θ = 32.55°, I 58; 2θ = 40.58°, I 30; 2θ = 41.43°, I 22; 2θ = 48.21°, I 26


No. 2
This entry pairs a crystal structure of NaTiSnP3O12 with its computed powder XRD pattern. Radiation: Cu Kα (weighted mean of Kα1 and Kα2). Structure: DFT lattice parameters and positions (PBE).

Structure:
abc: 8.9706 8.9706 8.9706
angles: 57.87 57.87 57.87
Positions (direct):
Na 0.0000 0.0000 0.0000
Na 0.5000 0.5000 0.5000
Ti 0.3558 0.3558 0.3558
Ti 0.8558 0.8558 0.8558
Sn 0.1472 0.1472 0.1472
Sn 0.6472 0.6472 0.6472
P 0.0433 0.4625 0.7482
P 0.2482 0.9625 0.5433
P 0.4625 0.7482 0.0433
P 0.5433 0.2482 0.9625
P 0.7482 0.0433 0.4625
P 0.9625 0.5433 0.2482
O 0.0022 0.6313 0.7882
O 0.0714 0.9465 0.7213
O 0.0739 0.2758 0.9141
O 0.1313 0.5022 0.2882
O 0.2213 0.4465 0.5714
O 0.2210 0.9820 0.3778
O 0.2758 0.9141 0.0739
O 0.2882 0.1313 0.5022
O 0.3778 0.2210 0.9820
O 0.4141 0.7758 0.5739
O 0.4465 0.5714 0.2213
O 0.4820 0.7210 0.8778
O 0.5022 0.2882 0.1313
O 0.5714 0.2213 0.4465
O 0.5739 0.4141 0.7758
O 0.6313 0.7882 0.0022
O 0.7213 0.0714 0.9465
O 0.7210 0.8778 0.4820
O 0.7758 0.5739 0.4141
O 0.7882 0.0022 0.6313
O 0.8778 0.4820 0.7210
O 0.9141 0.0739 0.2758
O 0.9465 0.7213 0.0714
O 0.9820 0.3778 0.2210

Most intense lines, 2θ from 15° to 90°, by angle:
2θ = 19.82°, I 74; 2θ = 20.46°, I 90; 2θ = 23.74°, I 93; 2θ = 28.64°, I 50; 2θ = 31.69°, I 100; 2θ = 35.84°, I 38


No. 3
This entry pairs a crystal structure of CuPC2 with its computed powder XRD pattern. Radiation: Cu Kα (weighted mean of Kα1 and Kα2). Structure: DFT lattice parameters and positions (PBE).

Structure:
abc: 5.9190 4.6746 4.0524
angles: 85.10 51.89 43.01
Positions (direct):
Cu 0.0000 0.0000 0.0000
P 0.7162 0.7162 0.2838
C 0.0286 0.6240 0.3760
C 0.6240 0.0286 0.9714

Most intense lines, 2θ from 15° to 90°, by angle:
2θ = 23.12°, I 100; 2θ = 30.58°, I 51; 2θ = 38.58°, I 87; 2θ = 46.79°, I 45; 2θ = 48.37°, I 58; 2θ = 59.76°, I 42


No. 4
This entry pairs a crystal structure of PuGa2Cu with its computed powder XRD pattern. Radiation: Cu Kα (weighted mean of Kα1 and Kα2). Structure: DFT lattice parameters and positions (PBE).

Structure:
abc: 6.4454 4.4678 10.1892
angles: 90.00 90.00 90.00
Positions (direct):
Pu 0.2364 0.2500 0.1582
Pu 0.2636 0.7500 0.6582
Pu 0.7364 0.2500 0.3418
Pu 0.7636 0.7500 0.8418
Ga 0.0733 0.2500 0.8472
Ga 0.2402 0.7500 0.9552
Ga 0.2598 0.2500 0.4552
Ga 0.4267 0.7500 0.3472
Ga 0.5733 0.2500 0.6528
Ga 0.7402 0.7500 0.5448
Ga 0.7598 0.2500 0.0448
Ga 0.9267 0.7500 0.1528
Cu 0.0462 0.7500 0.3890
Cu 0.4538 0.2500 0.8890
Cu 0.5462 0.7500 0.1110
Cu 0.9538 0.2500 0.6110

Most intense lines, 2θ from 15° to 90°, by angle:
2θ = 22.24°, I 24; 2θ = 35.46°, I 84; 2θ = 36.02°, I 100; 2θ = 37.98°, I 21; 2θ = 40.38°, I 36; 2θ = 45.84°, I 21


No. 5
This entry pairs a crystal structure of Pr2Ho6Zn with its computed powder XRD pattern. Radiation: Cu Kα (weighted mean of Kα1 and Kα2). Structure: DFT lattice parameters and positions (PBE).

Structure:
abc: 9.7285 10.2228 5.4335
angles: 90.00 90.00 90.00
Positions (direct):
Pr 0.1869 0.2487 0.0000
Pr 0.3131 0.7487 0.5000
Pr 0.6869 0.2513 0.5000
Pr 0.8131 0.7513 0.0000
Ho 0.0137 0.1872 0.5000
Ho 0.1360 0.6016 0.0000
Ho 0.1907 0.9248 0.0000
Ho 0.3093 0.4248 0.5000
Ho 0.3640 0.1016 0.5000
Ho 0.4863 0.6872 0.0000
Ho 0.5137 0.3128 0.0000
Ho 0.6360 0.8984 0.5000
Ho 0.6907 0.5752 0.5000
Ho 0.8093 0.0752 0.0000
Ho 0.8640 0.3984 0.0000
Ho 0.9863 0.8128 0.5000
Zn 0.0000 0.5000 0.5000
Zn 0.5000 0.0000 0.0000

Most intense lines, 2θ from 15° to 90°, by angle:
2θ = 30.98°, I 15; 2θ = 32.12°, I 100; 2θ = 32.35°, I 59; 2θ = 32.97°, I 41; 2θ = 46.66°, I 19; 2θ = 58.36°, I 13


No. 6
This entry pairs a crystal structure of Cd2AgAs with its computed powder XRD pattern. Radiation: Cu Kα (weighted mean of Kα1 and Kα2). Structure: DFT lattice parameters and positions (PBE).

Structure:
abc: 6.7709 6.7709 6.7709
angles: 154.73 138.25 49.43
Positions (direct):
Cd 0.0000 0.0000 0.0000
Cd 0.6793 0.1793 0.5000
Ag 0.2184 0.7184 0.5000
As 0.4126 0.4126 0.0000

Most intense lines, 2θ from 15° to 90°, by angle:
2θ = 28.57°, I 22; 2θ = 29.04°, I 30; 2θ = 37.27°, I 33; 2θ = 38.55°, I 100; 2θ = 41.19°, I 17; 2θ = 68.05°, I 18


No. 7
This entry pairs a crystal structure of La5Al4Br4 with its computed powder XRD pattern. Radiation: Cu Kα (weighted mean of Kα1 and Kα2). Structure: DFT lattice parameters and positions (PBE).

Structure:
abc: 11.7417 11.7396 8.3228
angles: 69.25 69.23 41.52
Positions (direct):
La 0.0471 0.7238 0.2762
La 0.2237 0.5471 0.7763
La 0.2500 0.2500 0.2500
La 0.2762 0.9529 0.0471
La 0.4529 0.7763 0.5471
La 0.5471 0.2237 0.4529
La 0.7238 0.0471 0.9529
La 0.7500 0.7500 0.7500
La 0.7763 0.4529 0.2237
La 0.9529 0.2762 0.7238
Al 0.0775 0.3625 0.9224
Al 0.1373 0.4226 0.5774
Al 0.3625 0.0775 0.6375
Al 0.4226 0.1373 0.8627
Al 0.5774 0.8627 0.1373
Al 0.6375 0.9224 0.3625
Al 0.8627 0.5774 0.4226
Al 0.9224 0.6375 0.0775
Br 0.0946 0.0946 0.4054
Br 0.1443 0.8557 0.8557
Br 0.3557 0.6443 0.3557
Br 0.4054 0.4054 0.0946
Br 0.5946 0.5946 0.9054
Br 0.6443 0.3557 0.6443
Br 0.8557 0.1443 0.1443
Br 0.9054 0.9054 0.5946

Most intense lines, 2θ from 15° to 90°, by angle:
2θ = 17.44°, I 22; 2θ = 27.34°, I 48; 2θ = 30.41°, I 31; 2θ = 32.62°, I 100; 2θ = 34.07°, I 83; 2θ = 35.34°, I 20


No. 8
This entry pairs a crystal structure of Pm3SnAs2Pt9 with its computed powder XRD pattern. Radiation: Cu Kα (weighted mean of Kα1 and Kα2). Structure: DFT lattice parameters and positions (PBE).

Structure:
abc: 6.5644 6.5644 9.3177
angles: 90.00 90.00 120.00
Positions (direct):
Pm 0.0000 0.0000 0.0000
Pm 0.3333 0.6667 0.7432
Pm 0.6667 0.3333 0.2568
Sn 0.0000 0.0000 0.5000
As 0.3333 0.6667 0.1825
As 0.6667 0.3333 0.8175
Pt 0.0000 0.5000 0.0000
Pt 0.1397 0.2794 0.2701
Pt 0.1397 0.8603 0.2701
Pt 0.2794 0.1397 0.7299
Pt 0.5000 0.0000 0.0000
Pt 0.5000 0.5000 0.0000
Pt 0.7206 0.8603 0.2701
Pt 0.8603 0.1397 0.7299
Pt 0.8603 0.7206 0.7299

Most intense lines, 2θ from 15° to 90°, by angle:
2θ = 32.94°, I 81; 2θ = 37.05°, I 100; 2θ = 38.65°, I 27; 2θ = 43.16°, I 44; 2θ = 56.04°, I 27; 2θ = 70.15°, I 21


No. 9
This entry pairs a crystal structure of Tc3B2 with its computed powder XRD pattern. Radiation: Cu Kα (weighted mean of Kα1 and Kα2). Structure: DFT lattice parameters and positions (PBE).

Structure:
abc: 8.7575 2.9596 8.6635
angles: 90.00 90.00 90.00
Positions (direct):
Tc 0.0673 0.2500 0.1313
Tc 0.1138 0.7500 0.5725
Tc 0.2007 0.2500 0.8154
Tc 0.2993 0.7500 0.3154
Tc 0.3862 0.2500 0.0725
Tc 0.4327 0.7500 0.6313
Tc 0.5673 0.2500 0.3687
Tc 0.6138 0.7500 0.9275
Tc 0.7007 0.2500 0.6846
Tc 0.7993 0.7500 0.1846
Tc 0.8862 0.2500 0.4275
Tc 0.9327 0.7500 0.8687
B 0.0465 0.7500 0.3258
B 0.2040 0.7500 0.0014
B 0.2960 0.2500 0.5014
B 0.4535 0.2500 0.8258
B 0.5465 0.7500 0.1742
B 0.7040 0.7500 0.4986
B 0.7960 0.2500 0.9986
B 0.9535 0.2500 0.6742

Most intense lines, 2θ from 15° to 90°, by angle:
2θ = 33.60°, I 92; 2θ = 37.14°, I 100; 2θ = 38.14°, I 72; 2θ = 43.80°, I 58; 2θ = 44.85°, I 44; 2θ = 48.59°, I 41


No. 10
This entry pairs a crystal structure of LiAcYSn with its computed powder XRD pattern. Radiation: Cu Kα (weighted mean of Kα1 and Kα2). Structure: DFT lattice parameters and positions (PBE).

Structure:
abc: 5.4956 5.4956 5.4956
angles: 60.00 60.00 60.00
Positions (direct):
Li 0.0000 0.0000 0.0000
Ac 0.2500 0.2500 0.2500
Y 0.7500 0.7500 0.7500
Sn 0.5000 0.5000 0.5000

Most intense lines, 2θ from 15° to 90°, by angle:
2θ = 19.79°, I 35; 2θ = 22.89°, I 22; 2θ = 32.59°, I 100; 2θ = 38.41°, I 21; 2θ = 46.75°, I 19; 2θ = 58.15°, I 39


No. 11
This entry pairs a crystal structure of PuNp2As2N2 with its computed powder XRD pattern. Radiation: Cu Kα (weighted mean of Kα1 and Kα2). Structure: DFT lattice parameters and positions (PBE).

Structure:
abc: 6.3112 6.3112 6.8752
angles: 119.69 119.69 35.39
Positions (direct):
Pu 0.0000 0.0000 0.0000
Np 0.1885 0.1885 0.7455
Np 0.8115 0.8115 0.2545
As 0.4385 0.4385 0.6510
As 0.5615 0.5615 0.3490
N 0.2100 0.2100 0.0917
N 0.7900 0.7900 0.9083

Most intense lines, 2θ from 15° to 90°, by angle:
2θ = 24.77°, I 22; 2θ = 25.97°, I 26; 2θ = 29.86°, I 63; 2θ = 31.45°, I 100; 2θ = 36.59°, I 67; 2θ = 50.38°, I 25


No. 12
This entry pairs a crystal structure of HoTiSi2Os with its computed powder XRD pattern. Radiation: Cu Kα (weighted mean of Kα1 and Kα2). Structure: DFT lattice parameters and positions (PBE).

Structure:
abc: 6.0739 6.0739 6.0739
angles: 141.68 141.68 55.31
Positions (direct):
Ho 0.0000 0.0000 0.0000
Ti 0.2500 0.7500 0.5000
Si 0.3890 0.3890 0.0000
Si 0.6110 0.6110 0.0000
Os 0.7500 0.2500 0.5000

Most intense lines, 2θ from 15° to 90°, by angle:
2θ = 23.80°, I 56; 2θ = 33.31°, I 22; 2θ = 33.61°, I 41; 2θ = 35.97°, I 100; 2θ = 45.50°, I 32; 2θ = 77.82°, I 21